Diffraction record for Er12SnRu6. The powder diffractogram is computed, not measured: it uses a crystal structure in Alexandria, relaxed with PBE and λ = 1.5418 Å (Cu Kα).
Lines closer than 0.1° are merged.

Atomic structure:
a = 9.746 Å, b = 9.746 Å, c = 9.746 Å
α = 90.00°, β = 90.00°, γ = 90.00°
Space group Im-3 (No. 204)
Asymmetric unit:
Er1 0.000 0.295 0.194 x24
Sn1 0.000 0.000 0.000 x2
Ru1 0.000 0.125 0.500 x12

Most intense lines, 10° ≤ 2θ ≤ 80°, sorted by position:
two_theta, d/Å, Rel. int., h k l
28.97, 3.082, 17.5, 3 0 1
31.81, 2.814, 43.9, 2 2 2
34.43, 2.605, 100.0, 3 1 2
36.89, 2.437, 21.5, 4 0 0
39.22, 2.297, 11.1, 3 3 0
41.43, 2.179, 5.5, 4 2 0
47.57, 1.911, 22.0, 5 0 1
54.93, 1.671, 25.6, 5 3 0
56.67, 1.624, 12.7, 6 0 0
58.37, 1.581, 31.9, 5 2 3
68.02, 1.378, 19.5, 5 3 4
71.08, 1.326, 8.0, 7 1 2